Starting from a cell relaxed with GGA-PBE, the powder diffraction line list of LaMoOs was calculated for Cu Ka.

Structure:
```
LaMoOs
1.0
0.0000 3.1628 3.1628
3.1628 0.0000 3.1628
3.1628 3.1628 0.0000
La Mo Os
1 1 1
Direct
0.0000 0.0000 0.0000
0.7500 0.7500 0.7500
0.2500 0.2500 0.2500
```

The 8 most intense peaks (15° ≤ 2θ ≤ 90°), most intense first:
2theta, I_rel
40.33, 100
24.37, 37
73.32, 34
47.68, 19
58.35, 17
28.22, 16
87.17, 11
64.18, 8

***

Starting from a cell relaxed with GGA-PBE, the powder diffraction line list of LaThMo3 was calculated for Cu Ka.

Structure:
```
LaThMo3
1.0
-2.7901 3.7956 5.1839
2.7901 -3.7956 5.1839
2.7901 3.7956 -5.1839
La Th Mo
2 2 6
Direct
0.0000 0.0000 0.0000
0.5000 0.0000 0.5000
0.2791 0.5291 0.7500
0.7209 0.4709 0.2500
0.1693 0.0000 0.6693
0.1693 0.5000 0.1693
0.4501 0.2001 0.2500
0.5499 0.7999 0.7500
0.8307 0.0000 0.3307
0.8307 0.5000 0.8307
```

The 8 most intense peaks (15° ≤ 2θ ≤ 90°), most intense first:
2theta, I_rel
29.74, 100
36.57, 88
38.76, 77
34.61, 45
40.14, 42
35.35, 32
55.76, 28
61.69, 24